[1]
# BaMg14Sb
Theoretical X-ray diffraction stick pattern, Cu Ka. Input: the GGA-PBE geometry in the Materials Project.
Kinematic intensities with the Lorentz-polarization factor, no thermal factor.

Largest 10 diffraction maxima, low angle first, 2θ = 5–70°:
| d (Å) | I_rel |
| --- | --- |
| 10.587 | 84.2 |
| 5.761 | 24.5 |
| 5.293 | 22.7 |
| 5.060 | 38.8 |
| 3.898 | 23.7 |
| 2.867 | 29.4 |
| 2.647 | 35.6 |
| 2.530 | 48.3 |
| 2.521 | 100.0 |
| 1.503 | 26.8 |

```
data_BaMg14Sb
_chemical_formula_sum 'Ba1 Mg14 Sb1'
_cell_length_a 10.5867
_cell_length_b 6.6415
_cell_length_c 6.6415
_cell_angle_alpha 59.68
_cell_angle_beta 90.00
_cell_angle_gamma 90.00
_space_group_name_H-M_alt 'P 1'
_space_group_IT_number 1
loop_
_space_group_symop_operation_xyz
'x,y,z'
loop_
_atom_site_label
_atom_site_type_symbol
_atom_site_fract_x
_atom_site_fract_y
_atom_site_fract_z
Ba1 Ba 0.0000 0.0000 0.0000
Mg1 Mg 0.0000 0.0091 0.4945
Mg2 Mg 0.0000 0.4945 0.0091
Mg3 Mg 0.2469 0.6685 0.6685
Mg4 Mg 0.2653 0.1723 0.6551
Mg5 Mg 0.2648 0.1736 0.1736
Mg6 Mg 0.2653 0.6551 0.1723
Mg7 Mg 0.5000 0.0009 0.0009
Mg8 Mg 0.5000 0.5028 0.5028
Mg9 Mg 0.5000 0.5026 0.9961
Mg10 Mg 0.5000 0.9961 0.5026
Mg11 Mg 0.7347 0.1723 0.6551
Mg12 Mg 0.7352 0.1736 0.1736
Mg13 Mg 0.7347 0.6551 0.1723
Mg14 Mg 0.7531 0.6685 0.6685
Sb1 Sb 0.0000 0.4937 0.4937
```

[2]
# Lu20Os5I24
Theoretical X-ray diffraction stick pattern, Cu Ka. Input: the GGA-PBE geometry in the Materials Project.
Kinematic intensities with the Lorentz-polarization factor, no thermal factor.

Largest 10 diffraction maxima, low angle first, 2θ = 5–70°:
| d (Å) | I_rel |
| --- | --- |
| 10.283 | 100.0 |
| 10.255 | 91.5 |
| 9.950 | 80.5 |
| 3.825 | 10.8 |
| 3.788 | 12.9 |
| 2.798 | 9.8 |
| 2.787 | 9.6 |
| 2.763 | 12.5 |
| 2.600 | 13.9 |
| 2.486 | 8.8 |

```
data_Lu20Os5I24
_chemical_formula_sum 'Lu20 Os5 I24'
_cell_length_a 11.9183
_cell_length_b 12.7115
_cell_length_c 14.3106
_cell_angle_alpha 99.77
_cell_angle_beta 107.73
_cell_angle_gamma 109.10
_space_group_name_H-M_alt 'P 1'
_space_group_IT_number 1
loop_
_space_group_symop_operation_xyz
'x,y,z'
loop_
_atom_site_label
_atom_site_type_symbol
_atom_site_fract_x
_atom_site_fract_y
_atom_site_fract_z
Lu1 Lu 0.0044 0.4758 0.2944
Lu2 Lu 0.0176 0.2796 0.4233
Lu3 Lu 0.1363 0.8250 0.8508
Lu4 Lu 0.2215 0.6962 0.5142
Lu5 Lu 0.2345 0.4990 0.6424
Lu6 Lu 0.2970 0.9477 0.7155
Lu7 Lu 0.3141 0.6666 0.8979
Lu8 Lu 0.3738 0.1132 0.9690
Lu9 Lu 0.3852 0.9126 0.0957
Lu10 Lu 0.4744 0.7895 0.7615
Lu11 Lu 0.5256 0.2105 0.2385
Lu12 Lu 0.6148 0.0874 0.9043
Lu13 Lu 0.6262 0.8868 0.0310
Lu14 Lu 0.6859 0.3334 0.1021
Lu15 Lu 0.7030 0.0523 0.2845
Lu16 Lu 0.7655 0.5010 0.3576
Lu17 Lu 0.7785 0.3038 0.4858
Lu18 Lu 0.8637 0.1750 0.1492
Lu19 Lu 0.9824 0.7204 0.5767
Lu20 Lu 0.9956 0.5242 0.7056
Os1 Os 0.0000 0.5000 0.5000
Os2 Os 0.2078 0.7099 0.7092
Os3 Os 0.4038 0.9054 0.9043
Os4 Os 0.5962 0.0946 0.0957
Os5 Os 0.7922 0.2901 0.2908
I1 I 0.0988 0.0305 0.7702
I2 I 0.1078 0.6655 0.9912
I3 I 0.1309 0.8985 0.4836
I4 I 0.1607 0.3204 0.2727
I5 I 0.1621 0.3960 0.8129
I6 I 0.1945 0.0330 0.0867
I7 I 0.2374 0.6774 0.3031
I8 I 0.2617 0.2721 0.5671
I9 I 0.4473 0.3770 0.1190
I10 I 0.4502 0.6182 0.5657
I11 I 0.4723 0.0216 0.3516
I12 I 0.4956 0.2624 0.8461
I13 I 0.5044 0.7376 0.1539
I14 I 0.5277 0.9784 0.6484
I15 I 0.5498 0.3818 0.4343
I16 I 0.5527 0.6230 0.8810
I17 I 0.7383 0.7279 0.4329
I18 I 0.7626 0.3226 0.6969
I19 I 0.8055 0.9670 0.9133
I20 I 0.8379 0.6040 0.1871
I21 I 0.8393 0.6796 0.7273
I22 I 0.8691 0.1015 0.5164
I23 I 0.8922 0.3345 0.0088
I24 I 0.9012 0.9695 0.2298
```

[3]
# SrCuN
Theoretical X-ray diffraction stick pattern, Cu Ka. Input: the GGA-PBE geometry in the Materials Project.
Kinematic intensities with the Lorentz-polarization factor, no thermal factor.

Largest 10 diffraction maxima, low angle first, 2θ = 5–70°:
| d (Å) | I_rel |
| --- | --- |
| 3.201 | 19.6 |
| 3.167 | 12.7 |
| 2.698 | 100.0 |
| 2.678 | 25.7 |
| 2.639 | 90.9 |
| 2.303 | 21.8 |
| 2.054 | 13.6 |
| 1.901 | 23.6 |
| 1.558 | 12.5 |
| 1.546 | 16.2 |

```
data_SrCuN
_chemical_formula_sum 'Sr12 Cu12 N12'
_cell_length_a 9.0753
_cell_length_b 13.2671
_cell_length_c 5.3976
_cell_angle_alpha 90.00
_cell_angle_beta 90.00
_cell_angle_gamma 90.00
_space_group_name_H-M_alt 'P 1'
_space_group_IT_number 1
loop_
_space_group_symop_operation_xyz
'x,y,z'
loop_
_atom_site_label
_atom_site_type_symbol
_atom_site_fract_x
_atom_site_fract_y
_atom_site_fract_z
Sr1 Sr 0.0216 0.2500 0.0025
Sr2 Sr 0.1604 0.5863 0.5155
Sr3 Sr 0.1604 0.9137 0.5155
Sr4 Sr 0.3396 0.0863 0.0155
Sr5 Sr 0.3396 0.4137 0.0155
Sr6 Sr 0.4784 0.7500 0.5025
Sr7 Sr 0.5216 0.2500 0.4975
Sr8 Sr 0.6604 0.5863 0.9845
Sr9 Sr 0.6604 0.9137 0.9845
Sr10 Sr 0.8396 0.0863 0.4845
Sr11 Sr 0.8396 0.4137 0.4845
Sr12 Sr 0.9784 0.7500 0.9975
Cu1 Cu 0.0000 0.0000 0.0000
Cu2 Cu 0.0000 0.5000 0.0000
Cu3 Cu 0.1786 0.1563 0.5137
Cu4 Cu 0.1786 0.3437 0.5137
Cu5 Cu 0.3214 0.6563 0.0137
Cu6 Cu 0.3214 0.8437 0.0137
Cu7 Cu 0.5000 0.0000 0.5000
Cu8 Cu 0.5000 0.5000 0.5000
Cu9 Cu 0.6786 0.1563 0.9863
Cu10 Cu 0.6786 0.3437 0.9863
Cu11 Cu 0.8214 0.6563 0.4863
Cu12 Cu 0.8214 0.8437 0.4863
N1 N 0.0873 0.0806 0.7598
N2 N 0.0873 0.4194 0.7598
N3 N 0.2415 0.7500 0.7846
N4 N 0.2585 0.2500 0.2846
N5 N 0.4127 0.5806 0.2598
N6 N 0.4127 0.9194 0.2598
N7 N 0.5873 0.0806 0.7402
N8 N 0.5873 0.4194 0.7402
N9 N 0.7415 0.7500 0.7154
N10 N 0.7585 0.2500 0.2154
N11 N 0.9127 0.5806 0.2402
N12 N 0.9127 0.9194 0.2402
```